Record 1
Structure and theoretical X-ray diffraction stick pattern of Ce7Te4P4 (a crystal structure in Alexandria, relaxed with PBE; Cu Kα).
Neutral-atom scattering factors, no anomalous dispersion.

Structure:
```
data_Ce7Te4P4
_chemical_formula_sum 'Ce28 Te16 P16'
_cell_length_a 15.096
_cell_length_b 15.096
_cell_length_c 7.212
_cell_angle_alpha 90.00
_cell_angle_beta 90.00
_cell_angle_gamma 90.00
_symmetry_space_group_name_H-M 'I 4/m m m'
_symmetry_Int_Tables_number 139
_symmetry_space_group_name_Hall '-I 4 2'
loop_
_atom_site_label
_atom_site_fract_x
_atom_site_fract_y
_atom_site_fract_z
Ce1 0.000 0.000 0.247
Ce2 0.000 0.287 0.000
Ce3 0.000 0.379 0.500
Ce4 0.213 0.213 0.500
Te1 0.000 0.176 0.500
Te2 0.130 0.130 0.000
P1 0.145 0.355 0.250
```

Principal peaks in the range 10° ≤ 2θ ≤ 80°, low angle first:
d 3.606, rel. 34; d 2.877, rel. 22; d 2.785, rel. 100; d 2.516, rel. 11; d 2.464, rel. 29; d 1.881, rel. 31

---

Record 2
Structure and theoretical X-ray diffraction stick pattern of Ce5Te5P (a crystal structure in Alexandria, relaxed with PBE; Cu Kα).
Neutral-atom scattering factors, no anomalous dispersion.

Structure:
```
data_Ce5Te5P
_chemical_formula_sum 'Ce10 Te10 P2'
_cell_length_a 13.949
_cell_length_b 6.251
_cell_length_c 8.798
_cell_angle_alpha 90.00
_cell_angle_beta 108.90
_cell_angle_gamma 90.00
_symmetry_space_group_name_H-M 'C 1 2/m 1'
_symmetry_Int_Tables_number 12
_symmetry_space_group_name_Hall '-C 2y'
loop_
_atom_site_label
_atom_site_fract_x
_atom_site_fract_y
_atom_site_fract_z
Ce1 0.000 0.000 0.000
Ce2 0.155 0.500 0.314
Ce3 0.157 0.500 0.845
Te1 0.000 0.500 0.500
Te2 0.161 0.000 0.820
Te3 0.173 0.000 0.337
P1 0.000 0.500 0.000
```

Principal peaks in the range 10° ≤ 2θ ≤ 80°, low angle first:
d 3.125, rel. 100; d 3.096, rel. 47; d 2.210, rel. 37; d 2.200, rel. 71; d 1.799, rel. 38; d 1.274, rel. 23

---

Record 3
Structure and theoretical X-ray diffraction stick pattern of CeTh3P4 (a crystal structure in Alexandria, relaxed with PBE; Cu Kα).
Neutral-atom scattering factors, no anomalous dispersion.

Structure:
```
data_CeTh3P4
_chemical_formula_sum 'Ce2 Th6 P8'
_cell_length_a 8.268
_cell_length_b 11.688
_cell_length_c 4.130
_cell_angle_alpha 90.00
_cell_angle_beta 90.00
_cell_angle_gamma 90.00
_symmetry_space_group_name_H-M 'C m m m'
_symmetry_Int_Tables_number 65
_symmetry_space_group_name_Hall '-C 2 2'
loop_
_atom_site_label
_atom_site_fract_x
_atom_site_fract_y
_atom_site_fract_z
Ce1 0.000 0.000 0.000
Th1 0.000 0.500 0.000
Th2 0.250 0.250 0.500
P1 0.000 0.249 0.000
P2 0.248 0.000 0.500
```

Principal peaks in the range 10° ≤ 2θ ≤ 80°, low angle first:
d 3.374, rel. 100; d 2.922, rel. 98; d 2.066, rel. 74; d 1.762, rel. 51; d 1.687, rel. 26; d 1.307, rel. 34

---

Record 4
Structure and theoretical X-ray diffraction stick pattern of Ce4ThP5 (a crystal structure in Alexandria, relaxed with PBE; Cu Kα).
Neutral-atom scattering factors, no anomalous dispersion.

Structure:
```
data_Ce4ThP5
_chemical_formula_sum 'Ce8 Th2 P10'
_cell_length_a 4.106
_cell_length_b 5.806
_cell_length_c 20.518
_cell_angle_alpha 90.00
_cell_angle_beta 90.00
_cell_angle_gamma 90.00
_symmetry_space_group_name_H-M 'I m m m'
_symmetry_Int_Tables_number 71
_symmetry_space_group_name_Hall '-I 2 2'
loop_
_atom_site_label
_atom_site_fract_x
_atom_site_fract_y
_atom_site_fract_z
Ce1 0.000 0.000 0.101
Ce2 0.000 0.000 0.299
Th1 0.000 0.000 0.500
P1 0.000 0.500 0.101
P2 0.000 0.500 0.300
P3 0.000 0.500 0.500
```

Principal peaks in the range 10° ≤ 2θ ≤ 80°, low angle first:
d 3.352, rel. 85; d 2.903, rel. 100; d 2.053, rel. 74; d 1.750, rel. 42; d 1.676, rel. 26; d 1.298, rel. 33

---

Record 5
Structure and theoretical X-ray diffraction stick pattern of CeTm2ThP4 (a crystal structure in Alexandria, relaxed with PBE; Cu Kα).
Neutral-atom scattering factors, no anomalous dispersion.

Structure:
```
data_CeTm2ThP4
_chemical_formula_sum 'Ce1 Tm2 Th1 P4'
_cell_length_a 6.964
_cell_length_b 4.047
_cell_length_c 7.005
_cell_angle_alpha 90.00
_cell_angle_beta 109.61
_cell_angle_gamma 90.00
_symmetry_space_group_name_H-M 'P 1 2/m 1'
_symmetry_Int_Tables_number 10
_symmetry_space_group_name_Hall '-P 2y'
loop_
_atom_site_label
_atom_site_fract_x
_atom_site_fract_y
_atom_site_fract_z
Ce1 0.000 0.000 0.000
Tm1 0.500 0.000 0.500
Tm2 0.500 0.500 0.000
Th1 0.000 0.500 0.500
P1 0.259 0.500 0.252
P2 0.260 0.000 0.755
```

Principal peaks in the range 10° ≤ 2θ ≤ 80°, low angle first:
d 3.301, rel. 70; d 3.280, rel. 23; d 2.854, rel. 100; d 2.023, rel. 37; d 2.013, rel. 36; d 1.650, rel. 20

---

Record 6
Structure and theoretical X-ray diffraction stick pattern of Ce2TiP3 (a crystal structure in Alexandria, relaxed with PBE; Cu Kα).
Neutral-atom scattering factors, no anomalous dispersion.

Structure:
```
data_Ce2TiP3
_chemical_formula_sum 'Ce4 Ti2 P6'
_cell_length_a 3.897
_cell_length_b 5.589
_cell_length_c 11.584
_cell_angle_alpha 90.00
_cell_angle_beta 90.00
_cell_angle_gamma 90.00
_symmetry_space_group_name_H-M 'I m m m'
_symmetry_Int_Tables_number 71
_symmetry_space_group_name_Hall '-I 2 2'
loop_
_atom_site_label
_atom_site_fract_x
_atom_site_fract_y
_atom_site_fract_z
Ce1 0.000 0.000 0.172
Ti1 0.000 0.000 0.500
P1 0.000 0.500 0.148
P2 0.000 0.500 0.500
```

Principal peaks in the range 10° ≤ 2θ ≤ 80°, low angle first:
d 3.197, rel. 47; d 3.177, rel. 47; d 2.796, rel. 72; d 2.743, rel. 100; d 1.957, rel. 73; d 1.231, rel. 22

---

Record 7
Structure and theoretical X-ray diffraction stick pattern of Ce4TmP6 (a crystal structure in Alexandria, relaxed with PBE; Cu Kα).
Neutral-atom scattering factors, no anomalous dispersion.

Structure:
```
data_Ce4TmP6
_chemical_formula_sum 'Ce24 Tm6 P36'
_cell_length_a 11.0931
_cell_length_b 11.0931
_cell_length_c 14.0155
_cell_angle_alpha 90.00
_cell_angle_beta 90.00
_cell_angle_gamma 120.00
_symmetry_space_group_name_H-M 'R -3 c'
_symmetry_Int_Tables_number 167
_symmetry_space_group_name_Hall '-R 3 2"c'
loop_
_atom_site_label
_atom_site_fract_x
_atom_site_fract_y
_atom_site_fract_z
Ce1 0.0000 0.0000 0.2500
Ce2 0.0000 0.3797 0.2500
Tm1 0.0000 0.0000 0.0000
P1 0.0272 0.2073 0.3875
```

Principal peaks in the range 10° ≤ 2θ ≤ 80°, low angle first:
d 3.573, rel. 57; d 3.202, rel. 100; d 2.831, rel. 51; d 2.521, rel. 48; d 2.385, rel. 37; d 1.866, rel. 37

---

Record 8
Structure and theoretical X-ray diffraction stick pattern of CeTm2P3 (a crystal structure in Alexandria, relaxed with PBE; Cu Kα).
Neutral-atom scattering factors, no anomalous dispersion.

Structure:
```
data_CeTm2P3
_chemical_formula_sum 'Ce2 Tm4 P6'
_cell_length_a 3.996
_cell_length_b 5.651
_cell_length_c 11.956
_cell_angle_alpha 90.00
_cell_angle_beta 90.00
_cell_angle_gamma 90.00
_symmetry_space_group_name_H-M 'I m m m'
_symmetry_Int_Tables_number 71
_symmetry_space_group_name_Hall '-I 2 2'
loop_
_atom_site_label
_atom_site_fract_x
_atom_site_fract_y
_atom_site_fract_z
Ce1 0.000 0.000 0.000
Tm1 0.000 0.000 0.334
P1 0.000 0.500 0.000
P2 0.000 0.500 0.330
```

Principal peaks in the range 10° ≤ 2θ ≤ 80°, low angle first:
d 3.260, rel. 87; d 2.823, rel. 100; d 1.997, rel. 61; d 1.703, rel. 28; d 1.296, rel. 14; d 1.263, rel. 27